This entry pairs a crystal structure of ZnTe6O13 with its computed powder diffraction line list. Radiation: Cu Kα. Structure: a cell relaxed with GGA-PBE.
Intensities are scaled so that the largest is 100.

Structural model:
a = 10.3239 Å, b = 10.3239 Å, c = 19.4172 Å
α = 90.00°, β = 90.00°, γ = 120.00°
Space group R-3 (No. 148, hexagonal axes)
Symmetry-distinct sites (fractional):
Zn  0.0000  0.0000  0.2426 (multiplicity 6)
Te  0.0614  0.8291  0.9078 (multiplicity 18)
Te  0.0835  0.8454  0.4044 (multiplicity 18)
O  0.0000  0.0000  0.4125 (multiplicity 6)
O  0.0013  0.7486  0.5517 (multiplicity 18)
O  0.0519  0.8561  0.8118 (multiplicity 18)
O  0.0545  0.8695  0.0708 (multiplicity 18)
O  0.0899  0.2045  0.3072 (multiplicity 18)

Largest 10 diffraction maxima, by intensity, 10° ≤ 2θ ≤ 90°:
27.96°, rel. 100, hkl 1 2 2
32.28°, rel. 50, hkl 3 -1 4
27.56°, rel. 37, hkl 0 0 6
46.55°, rel. 24, hkl 4 1 0
46.04°, rel. 24, hkl 1 2 8
54.95°, rel. 24, hkl 5 -4 6
21.89°, rel. 14, hkl 2 0 2
55.18°, rel. 13, hkl 6 -2 2
54.50°, rel. 12, hkl 3 -1 10
57.78°, rel. 11, hkl 2 4 4

---

This entry pairs a crystal structure of NaYZrS4 with its computed powder diffraction line list. Radiation: Cu Kα. Structure: a cell relaxed with GGA-PBE.
Intensities are scaled so that the largest is 100.

Structural model:
a = 6.5972 Å, b = 3.8689 Å, c = 7.0416 Å
α = 90.00°, β = 107.74°, γ = 90.00°
Space group P2/m (No. 10)
Symmetry-distinct sites (fractional):
Na  0.0000  0.0000  0.0000 (multiplicity 1)
Y  0.0000  0.5000  0.5000 (multiplicity 1)
Zr  0.5000  0.0000  0.5000 (multiplicity 1)
S  0.2566  0.0000  0.7201 (multiplicity 2)
S  0.2765  0.5000  0.2793 (multiplicity 2)

Largest 10 diffraction maxima, by intensity, 10° ≤ 2θ ≤ 90°:
13.20°, rel. 100, hkl 0 0 1
32.13°, rel. 75, hkl 1 1 1
45.21°, rel. 38, hkl 1 1 -3
32.58°, rel. 36, hkl 2 0 -2
27.07°, rel. 24, hkl 1 1 0
47.56°, rel. 23, hkl 3 1 -1
41.37°, rel. 15, hkl 1 1 2
46.97°, rel. 13, hkl 0 2 0
58.33°, rel. 12, hkl 2 2 -2
27.44°, rel. 12, hkl 2 0 -1

---

This entry pairs a crystal structure of CeInNi with its computed powder diffraction line list. Radiation: Cu Kα. Structure: a cell relaxed with GGA-PBE.
Intensities are scaled so that the largest is 100.

Structural model:
a = 7.3404 Å, b = 7.3404 Å, c = 4.0262 Å
α = 90.00°, β = 90.00°, γ = 120.00°
Space group P-62m (No. 189)
Symmetry-distinct sites (fractional):
Ce  0.0000  0.5845  0.0000 (multiplicity 3)
In  0.0000  0.2479  0.5000 (multiplicity 3)
Ni  0.0000  0.0000  0.0000 (multiplicity 1)
Ni  0.3333  0.6667  0.5000 (multiplicity 2)

Largest 10 diffraction maxima, by intensity, 10° ≤ 2θ ≤ 90°:
33.02°, rel. 100, hkl 1 1 1
36.00°, rel. 84, hkl 2 0 1
37.43°, rel. 58, hkl 2 1 0
59.95°, rel. 29, hkl 2 1 2
45.03°, rel. 25, hkl 0 0 2
68.42°, rel. 24, hkl 3 2 1
57.02°, rel. 23, hkl 3 1 1
42.67°, rel. 19, hkl 3 0 0
43.88°, rel. 15, hkl 2 1 1
63.78°, rel. 13, hkl 3 0 2

---

This entry pairs a crystal structure of NaPH3NO3 with its computed powder diffraction line list. Radiation: Cu Kα. Structure: a cell relaxed with GGA-PBE.
Intensities are scaled so that the largest is 100.

Structural model:
a = 5.8063 Å, b = 5.8063 Å, c = 6.1411 Å
α = 90.00°, β = 90.00°, γ = 120.00°
Space group P6_3 (No. 173)
Symmetry-distinct sites (fractional):
Na  0.0000  0.0000  0.0000 (multiplicity 2)
P  0.3333  0.6667  0.3083 (multiplicity 2)
H  0.1550  0.5082  0.6632 (multiplicity 6)
N  0.3333  0.6667  0.6025 (multiplicity 2)
O  0.1480  0.7731  0.2507 (multiplicity 6)

Largest 10 diffraction maxima, by intensity, 10° ≤ 2θ ≤ 90°:
22.86°, rel. 100, hkl 1 0 1
30.80°, rel. 41, hkl 1 1 0
34.21°, rel. 29, hkl 1 0 2
46.69°, rel. 23, hkl 2 0 2
47.99°, rel. 17, hkl 1 0 3
29.08°, rel. 13, hkl 0 0 2
64.16°, rel. 11, hkl 2 2 0
38.70°, rel. 10, hkl 2 0 1
50.25°, rel. 10, hkl 1 2 1
54.77°, rel. 7, hkl 3 0 0

---

This entry pairs a crystal structure of Ge8Pd21 with its computed powder diffraction line list. Radiation: Cu Kα. Structure: a cell relaxed with GGA-PBE.
Intensities are scaled so that the largest is 100.

Structural model:
a = 13.2834 Å, b = 13.2834 Å, c = 10.1722 Å
α = 90.00°, β = 90.00°, γ = 90.00°
Space group I4_1/a (No. 88, origin choice 2)
Symmetry-distinct sites (fractional):
Ge  0.0956  0.3738  0.4709 (multiplicity 16)
Ge  0.0969  0.0465  0.1770 (multiplicity 16)
Pd  0.0000  0.2500  0.6250 (multiplicity 4)
Pd  0.0136  0.0301  0.6361 (multiplicity 16)
Pd  0.0541  0.3388  0.2278 (multiplicity 16)
Pd  0.0830  0.3572  0.8469 (multiplicity 16)
Pd  0.0907  0.0031  0.9268 (multiplicity 16)
Pd  0.2031  0.4710  0.6398 (multiplicity 16)

Largest 10 diffraction maxima, by intensity, 10° ≤ 2θ ≤ 90°:
38.84°, rel. 100, hkl 5 1 2
44.58°, rel. 88, hkl 4 5 1
43.26°, rel. 88, hkl 5 0 3
36.00°, rel. 79, hkl 2 3 3
34.92°, rel. 76, hkl 5 0 1
38.55°, rel. 58, hkl 1 4 3
40.76°, rel. 43, hkl 6 0 0
47.22°, rel. 34, hkl 1 2 5
45.98°, rel. 27, hkl 3 3 4
42.37°, rel. 26, hkl 4 4 2

---

This entry pairs a crystal structure of KSb3O5 with its computed powder diffraction line list. Radiation: Cu Kα. Structure: a cell relaxed with GGA-PBE.
Intensities are scaled so that the largest is 100.

Structural model:
a = 7.1626 Å, b = 14.2206 Å, c = 8.2067 Å
α = 90.00°, β = 120.85°, γ = 90.00°
Space group P2_1/c (No. 14)
Symmetry-distinct sites (fractional):
K  0.0514  0.2420  0.4498 (multiplicity 4)
Sb  0.0142  0.0145  0.7082 (multiplicity 4)
Sb  0.4598  0.6033  0.1388 (multiplicity 4)
Sb  0.4929  0.6424  0.5751 (multiplicity 4)
O  0.1777  0.6314  0.8953 (multiplicity 4)
O  0.1968  0.0403  0.5922 (multiplicity 4)
O  0.2533  0.0969  0.9359 (multiplicity 4)
O  0.3327  0.6556  0.2889 (multiplicity 4)
O  0.3899  0.2262  0.3587 (multiplicity 4)

Largest 10 diffraction maxima, by intensity, 10° ≤ 2θ ≤ 90°:
29.02°, rel. 100, hkl 1 4 0
22.61°, rel. 25, hkl 1 1 -2
14.79°, rel. 24, hkl 1 1 -1
26.06°, rel. 21, hkl 0 1 2
27.73°, rel. 19, hkl 2 1 -2
28.82°, rel. 18, hkl 1 3 -2
18.33°, rel. 17, hkl 1 2 -1
34.73°, rel. 17, hkl 2 1 -3
51.44°, rel. 15, hkl 3 4 0
19.08°, rel. 14, hkl 1 2 0

---

This entry pairs a crystal structure of Hf9Mo4As with its computed powder diffraction line list. Radiation: Cu Kα. Structure: a cell relaxed with GGA-PBE.
Intensities are scaled so that the largest is 100.

Structural model:
a = 8.6796 Å, b = 8.6796 Å, c = 8.6867 Å
α = 90.00°, β = 90.00°, γ = 120.00°
Space group P6_3/mmc (No. 194)
Symmetry-distinct sites (fractional):
Hf  0.0792  0.5396  0.2500 (multiplicity 6)
Hf  0.1960  0.3920  0.5434 (multiplicity 12)
Mo  0.0000  0.0000  0.0000 (multiplicity 2)
Mo  0.1101  0.2201  0.2500 (multiplicity 6)
As  0.3333  0.6667  0.7500 (multiplicity 2)

Largest 10 diffraction maxima, by intensity, 10° ≤ 2θ ≤ 90°:
37.84°, rel. 100, hkl 2 1 2
31.48°, rel. 59, hkl 2 0 2
37.35°, rel. 54, hkl 3 0 1
41.61°, rel. 50, hkl 0 0 4
39.28°, rel. 39, hkl 2 0 3
33.16°, rel. 31, hkl 1 0 3
62.71°, rel. 30, hkl 3 2 3
65.73°, rel. 28, hkl 5 0 2
65.36°, rel. 26, hkl 3 0 5
35.84°, rel. 18, hkl 3 0 0

---

This entry pairs a crystal structure of LaCuO2 with its computed powder diffraction line list. Radiation: Cu Kα. Structure: a cell relaxed with GGA-PBE.
Intensities are scaled so that the largest is 100.

Structural model:
a = 3.8579 Å, b = 3.8579 Å, c = 17.0187 Å
α = 90.00°, β = 90.00°, γ = 120.00°
Space group R-3m (No. 166, hexagonal axes)
Symmetry-distinct sites (fractional):
La  0.0000  0.0000  0.0000 (multiplicity 3)
Cu  0.0000  0.0000  0.5000 (multiplicity 3)
O  0.0000  0.0000  0.3933 (multiplicity 6)

Largest 10 diffraction maxima, by intensity, 10° ≤ 2θ ≤ 90°:
28.71°, rel. 100, hkl 0 1 2
34.12°, rel. 43, hkl 1 0 4
47.11°, rel. 31, hkl 1 1 0
50.89°, rel. 22, hkl 0 1 8
15.62°, rel. 22, hkl 0 0 3
57.80°, rel. 21, hkl 1 1 6
31.54°, rel. 19, hkl 0 0 6
56.11°, rel. 15, hkl 2 0 2
61.11°, rel. 13, hkl 1 0 10
76.22°, rel. 11, hkl 1 2 2